This entry pairs a crystal structure of TbHoBi2S2 with its simulated XRD peak list. Radiation: CuKα. Structure: the PBE geometry in OQMD.
Kinematic intensities with the Lorentz-polarization factor, no thermal factor.

Atomic structure:
Unit cell a=4.212 b=4.212 c=8.683 alpha=90.00 beta=90.00 gamma=90.00
Fractional positions:
Tb  0.000  0.000  0.000
Ho  0.500  0.500  0.630
Bi  0.000  0.500  0.316
Bi  0.500  0.000  0.316
S  0.000  0.000  0.688
S  0.500  0.500  0.940

Principal peaks in the range 2θ from 15° to 90°, most intense first:
2θ = 31.76°, d 2.817, intensity 100, (1 1 1); 2θ = 36.59°, d 2.456, intensity 80, (1 1 2); 2θ = 30.90°, d 2.894, intensity 45, (0 0 3); 2θ = 42.94°, d 2.106, intensity 41, (2 0 0); 2θ = 53.83°, d 1.703, intensity 38, (2 0 3); 2θ = 23.47°, d 3.790, intensity 37, (1 0 1); 2θ = 74.51°, d 1.273, intensity 21, (3 1 2); 2θ = 71.68°, d 1.317, intensity 20, (3 1 1); 2θ = 61.84°, d 1.500, intensity 19, (1 1 5); 2θ = 52.14°, d 1.754, intensity 18, (1 1 4)